Diffraction record for Li3FeP2O8. The powder diffractogram is theoretical, not measured: it uses a structure optimized by DFT (GGA+U) and Cu Ka.

Top 8 peaks for 2θ from 10° to 80°, by angle:
6.338 Å, I = 68, (1 1 0)
5.570 Å, I = 41, (1 1 -1)
4.086 Å, I = 100, (1 2 -1)
4.012 Å, I = 80, (0 0 2)
3.718 Å, I = 48, (2 1 0)
2.785 Å, I = 54, (2 2 -2)
2.603 Å, I = 41, (0 4 0)
2.512 Å, I = 52, (2 0 2)

Cell and atoms:
Lattice parameters (Å, degrees): 8.258 10.411 8.322 90.00 105.39 90.00
Space group P2_1 (No. 4)
Unique sites:
Li 0.047 0.000 0.035 [2 per cell]
Li 0.099 0.744 0.837 [2 per cell]
Li 0.108 0.914 0.348 [2 per cell]
Li 0.142 0.425 0.415 [2 per cell]
Li 0.143 0.234 0.905 [2 per cell]
Li 0.328 0.723 0.591 [2 per cell]
Fe 0.401 0.238 0.661 [2 per cell]
Fe 0.408 0.417 0.161 [2 per cell]
P 0.204 0.986 0.718 [2 per cell]
P 0.222 0.664 0.216 [2 per cell]
P 0.262 0.484 0.794 [2 per cell]
P 0.267 0.176 0.290 [2 per cell]
O 0.073 0.972 0.552 [2 per cell]
O 0.074 0.673 0.057 [2 per cell]
O 0.110 0.419 0.837 [2 per cell]
O 0.125 0.252 0.332 [2 per cell]
O 0.147 0.933 0.865 [2 per cell]
O 0.186 0.732 0.364 [2 per cell]
O 0.226 0.038 0.242 [2 per cell]
O 0.237 0.624 0.744 [2 per cell]
O 0.257 0.132 0.752 [2 per cell]
O 0.259 0.516 0.258 [2 per cell]
O 0.305 0.406 0.647 [2 per cell]
O 0.318 0.246 0.140 [2 per cell]
O 0.368 0.912 0.700 [2 per cell]
O 0.388 0.717 0.182 [2 per cell]
O 0.418 0.466 0.949 [2 per cell]
O 0.429 0.190 0.446 [2 per cell]